No. 1
For U3Fe2Ge7, the GGA-PBE geometry in the Materials Project gives the computed X-ray diffraction stick pattern in this record (Cu Kα (λ = 1.5418 Å)).
No peak broadening, texture or thermal motion is included.

Atomic structure:
Cell lengths 4.1681, 24.6999, 4.2236 Å; angles 90.00, 90.00, 90.00 degrees
Space group Cmmm (No. 65)
Inequivalent atoms, fractional coordinates:
1 U 0.0000 0.0000 0.0000
2 U 0.0000 0.3147 0.5000
3 Fe 0.0000 0.1256 0.0000
4 Ge 0.0000 0.0874 0.5000
5 Ge 0.0000 0.2200 0.0000
6 Ge 0.0000 0.4135 0.0000
7 Ge 0.0000 0.5000 0.5000

Main lines, in order of rising 2θ (2θ = 10–90°):
2θ (°)  d_spacing  I_rel
22.2  3.996  15
23.9  3.719  20
30.3  2.946  21
35.3  2.543  100
36.0  2.493  24
36.4  2.470  15
42.8  2.112  24
43.4  2.084  24
57.7  1.599  14
62.6  1.483  16

No. 2
For Sr2MgTi2S6, the GGA-PBE geometry in the Materials Project gives the computed X-ray diffraction stick pattern in this record (Cu Kα (λ = 1.5418 Å)).
No peak broadening, texture or thermal motion is included.

Atomic structure:
Cell lengths 6.0867, 6.8967, 13.6970 Å; angles 90.00, 90.00, 90.00 degrees
Space group Amm2 (No. 38)
Inequivalent atoms, fractional coordinates:
1 Sr 0.0000 0.0000 0.0000
2 Sr 0.5000 0.0000 0.3262
3 Mg 0.0000 0.0000 0.5677
4 Ti 0.2706 0.0000 0.7422
5 S 0.0000 0.0000 0.4037
6 S 0.0000 0.2418 0.6963
7 S 0.5000 0.0000 0.8902
8 S 0.5000 0.2246 0.6562

Main lines, in order of rising 2θ (2θ = 10–90°):
2θ (°)  d_spacing  I_rel
12.9  6.848  54
19.5  4.550  91
23.4  3.807  88
25.8  3.448  48
29.0  3.080  61
29.3  3.043  62
32.6  2.748  100
37.8  2.377  52
38.3  2.349  64
41.7  2.165  98

What is the formula in the first record?
U3Fe2Ge7